# 1
Structure and theoretical PXRD pattern of Ca16Sb11 (a structure optimized by DFT (PBE); Cu Kα, 1.54184 Å).
Neutral-atom scattering factors, no anomalous dispersion.

Structural model:
```
data_Ca16Sb11
_cell_length_a 12.3115
_cell_length_b 12.3178
_cell_length_c 11.3397
_cell_angle_alpha 90.00
_cell_angle_beta 90.00
_cell_angle_gamma 90.00
_symmetry_space_group_name_H-M 'P 1'
_symmetry_Int_Tables_number 1
loop_
_symmetry_equiv_pos_as_xyz
'x,y,z'
loop_
_atom_site_label
_atom_site_fract_x
_atom_site_fract_y
_atom_site_fract_z
Ca1 0.0000 0.0000 0.1396
Ca2 0.0000 0.0000 0.7860
Ca3 0.0706 0.2937 0.3120
Ca4 0.0759 0.2897 0.7113
Ca5 0.0879 0.7076 0.9987
Ca6 0.1315 0.8688 0.5012
Ca7 0.2015 0.5693 0.6822
Ca8 0.2079 0.4124 0.0005
Ca9 0.2092 0.5757 0.2886
Ca10 0.2908 0.0757 0.7114
Ca11 0.2921 0.9124 0.9995
Ca12 0.2985 0.0693 0.3178
Ca13 0.3685 0.3688 0.4988
Ca14 0.4121 0.2076 0.0013
Ca15 0.4241 0.7897 0.2887
Ca16 0.4294 0.7937 0.6880
Ca17 0.5000 0.5000 0.2140
Ca18 0.5000 0.5000 0.8604
Ca19 0.5706 0.2063 0.6880
Ca20 0.5759 0.2103 0.2887
Ca21 0.5879 0.7924 0.0013
Ca22 0.6315 0.6312 0.4988
Ca23 0.7015 0.9307 0.3178
Ca24 0.7079 0.0876 0.9995
Ca25 0.7092 0.9243 0.7114
Ca26 0.7908 0.4243 0.2886
Ca27 0.7921 0.5876 0.0005
Ca28 0.7985 0.4307 0.6822
Ca29 0.8685 0.1312 0.5012
Ca30 0.9121 0.2924 0.9987
Ca31 0.9241 0.7103 0.7113
Ca32 0.9294 0.7063 0.3120
Sb1 0.0000 0.5000 0.1496
Sb2 0.0000 0.5000 0.4940
Sb3 0.0000 0.5000 0.8465
Sb4 0.1258 0.1257 0.5128
Sb5 0.1453 0.1455 0.9663
Sb6 0.1651 0.8359 0.2362
Sb7 0.1791 0.8193 0.7626
Sb8 0.3209 0.3193 0.2374
Sb9 0.3349 0.3359 0.7638
Sb10 0.3547 0.6455 0.0337
Sb11 0.3742 0.6257 0.4872
Sb12 0.5000 0.0000 0.1535
Sb13 0.5000 0.0000 0.5060
Sb14 0.5000 0.0000 0.8504
Sb15 0.6258 0.3743 0.4872
Sb16 0.6453 0.3545 0.0337
Sb17 0.6651 0.6641 0.7638
Sb18 0.6791 0.6807 0.2374
Sb19 0.8209 0.1807 0.7626
Sb20 0.8349 0.1641 0.2362
Sb21 0.8547 0.8545 0.9663
Sb22 0.8742 0.8743 0.5128
```

Peak list (10 most intense, 2θ = 15–90°, by intensity)
| 2theta | d_spacing | intensity |
| --- | --- | --- |
| 22.51 | 3.950 | 100 |
| 22.84 | 3.894 | 80 |
| 33.92 | 2.643 | 77 |
| 33.04 | 2.711 | 54 |
| 32.52 | 2.754 | 44 |
| 31.34 | 2.854 | 39 |
| 27.71 | 3.220 | 29 |
| 30.56 | 2.926 | 29 |
| 31.56 | 2.835 | 26 |
| 42.63 | 2.121 | 26 |



# 2
Structure and theoretical PXRD pattern of Ca3Sb2 (a structure optimized by DFT (PBE); Cu Kα, 1.54184 Å).
Neutral-atom scattering factors, no anomalous dispersion.

Structural model:
```
data_Ca3Sb2
_cell_length_a 5.7800
_cell_length_b 5.7800
_cell_length_c 5.7800
_cell_angle_alpha 90.00
_cell_angle_beta 90.00
_cell_angle_gamma 90.00
_symmetry_space_group_name_H-M 'P 1'
_symmetry_Int_Tables_number 1
loop_
_symmetry_equiv_pos_as_xyz
'x,y,z'
loop_
_atom_site_label
_atom_site_fract_x
_atom_site_fract_y
_atom_site_fract_z
Ca1 0.0000 0.0000 0.5000
Ca2 0.0000 0.5000 0.0000
Ca3 0.5000 0.0000 0.0000
Sb1 0.0000 0.0000 0.0000
Sb2 0.5000 0.5000 0.5000
```

Peak list (10 most intense, 2θ = 15–90°, by intensity)
| 2theta | d_spacing | intensity |
| --- | --- | --- |
| 21.74 | 4.087 | 100 |
| 30.94 | 2.890 | 72 |
| 44.33 | 2.044 | 51 |
| 38.14 | 2.360 | 47 |
| 59.87 | 1.545 | 25 |
| 49.89 | 1.828 | 22 |
| 73.24 | 1.292 | 22 |
| 55.04 | 1.669 | 18 |
| 26.71 | 3.337 | 17 |
| 81.60 | 1.180 | 16 |



# 3
Structure and theoretical PXRD pattern of Ca11Sb10 (a structure optimized by DFT (PBE); Cu Kα, 1.54184 Å).
Neutral-atom scattering factors, no anomalous dispersion.

Structural model:
```
data_Ca11Sb10
_cell_length_a 12.1758
_cell_length_b 12.1758
_cell_length_c 12.1758
_cell_angle_alpha 120.60
_cell_angle_beta 120.60
_cell_angle_gamma 88.97
_symmetry_space_group_name_H-M 'P 1'
_symmetry_Int_Tables_number 1
loop_
_symmetry_equiv_pos_as_xyz
'x,y,z'
loop_
_atom_site_label
_atom_site_fract_x
_atom_site_fract_y
_atom_site_fract_z
Ca1 0.0595 0.3110 0.7485
Ca2 0.1034 0.4427 0.3393
Ca3 0.1034 0.7640 0.6607
Ca4 0.1650 0.1650 0.0000
Ca5 0.2360 0.8966 0.3393
Ca6 0.3110 0.0595 0.7485
Ca7 0.3110 0.5625 0.2515
Ca8 0.3355 0.3355 0.6711
Ca9 0.3355 0.6645 0.0000
Ca10 0.4375 0.6890 0.7485
Ca11 0.4427 0.1034 0.3393
Ca12 0.5573 0.8966 0.6607
Ca13 0.5625 0.3110 0.2515
Ca14 0.6645 0.3355 0.0000
Ca15 0.6645 0.6645 0.3289
Ca16 0.6890 0.4375 0.7485
Ca17 0.6890 0.9405 0.2515
Ca18 0.7640 0.1034 0.6607
Ca19 0.8350 0.8350 0.0000
Ca20 0.8966 0.2360 0.3393
Ca21 0.8966 0.5573 0.6607
Ca22 0.9405 0.6890 0.2515
Sb1 0.0309 0.0309 0.4125
Sb2 0.0309 0.6185 0.0000
Sb3 0.1264 0.1264 0.2529
Sb4 0.1264 0.8736 0.0000
Sb5 0.1517 0.5000 0.6517
Sb6 0.2500 0.7500 0.5000
Sb7 0.3718 0.3718 0.0000
Sb8 0.3815 0.3815 0.4125
Sb9 0.3815 0.9691 0.0000
Sb10 0.5000 0.1517 0.6517
Sb11 0.5000 0.8483 0.3483
Sb12 0.6185 0.0309 0.0000
Sb13 0.6185 0.6185 0.5875
Sb14 0.6282 0.6282 0.0000
Sb15 0.7500 0.2500 0.5000
Sb16 0.8483 0.5000 0.3483
Sb17 0.8736 0.1264 0.0000
Sb18 0.8736 0.8736 0.7471
Sb19 0.9691 0.3815 0.0000
Sb20 0.9691 0.9691 0.5875
```

Peak list (10 most intense, 2θ = 15–90°, by intensity)
| 2theta | d_spacing | intensity |
| --- | --- | --- |
| 31.43 | 2.847 | 100 |
| 30.87 | 2.897 | 80 |
| 22.69 | 3.918 | 53 |
| 34.10 | 2.629 | 51 |
| 40.50 | 2.227 | 44 |
| 31.20 | 2.867 | 36 |
| 45.06 | 2.012 | 36 |
| 22.52 | 3.948 | 30 |
| 23.24 | 3.827 | 29 |
| 44.66 | 2.029 | 25 |



# 4
Structure and theoretical PXRD pattern of CaZn2Sb2 (a structure optimized by DFT (PBE); Cu Kα, 1.54184 Å).
Neutral-atom scattering factors, no anomalous dispersion.

Structural model:
```
data_CaZn2Sb2
_cell_length_a 4.4965
_cell_length_b 4.4965
_cell_length_c 7.4854
_cell_angle_alpha 90.00
_cell_angle_beta 90.00
_cell_angle_gamma 120.00
_symmetry_space_group_name_H-M 'P 1'
_symmetry_Int_Tables_number 1
loop_
_symmetry_equiv_pos_as_xyz
'x,y,z'
loop_
_atom_site_label
_atom_site_fract_x
_atom_site_fract_y
_atom_site_fract_z
Ca1 0.0000 0.0000 0.0000
Zn1 0.3333 0.6667 0.6340
Zn2 0.6667 0.3333 0.3660
Sb1 0.3333 0.6667 0.2571
Sb2 0.6667 0.3333 0.7429
```

Peak list (10 most intense, 2θ = 15–90°, by intensity)
| 2theta | d_spacing | intensity |
| --- | --- | --- |
| 40.11 | 2.248 | 100 |
| 25.79 | 3.455 | 82 |
| 33.20 | 2.698 | 75 |
| 43.06 | 2.101 | 71 |
| 22.84 | 3.894 | 54 |
| 23.77 | 3.743 | 33 |
| 47.16 | 1.927 | 32 |
| 74.91 | 1.268 | 26 |
| 60.30 | 1.535 | 25 |
| 66.97 | 1.397 | 23 |



# 5
Structure and theoretical PXRD pattern of Ca9Zn4Sb9 (a structure optimized by DFT (PBE); Cu Kα, 1.54184 Å).
Neutral-atom scattering factors, no anomalous dispersion.

Structural model:
```
data_Ca9Zn4Sb9
_cell_length_a 12.5066
_cell_length_b 21.9186
_cell_length_c 4.5611
_cell_angle_alpha 90.00
_cell_angle_beta 90.00
_cell_angle_gamma 90.00
_symmetry_space_group_name_H-M 'P 1'
_symmetry_Int_Tables_number 1
loop_
_symmetry_equiv_pos_as_xyz
'x,y,z'
loop_
_atom_site_label
_atom_site_fract_x
_atom_site_fract_y
_atom_site_fract_z
Ca1 0.0000 0.0000 0.0000
Ca2 0.0639 0.4093 0.5000
Ca3 0.1216 0.2367 0.5000
Ca4 0.1341 0.8628 0.5000
Ca5 0.2127 0.6021 0.0000
Ca6 0.2873 0.1021 0.0000
Ca7 0.3659 0.3628 0.5000
Ca8 0.3784 0.7367 0.5000
Ca9 0.4361 0.9093 0.5000
Ca10 0.5000 0.5000 0.0000
Ca11 0.5639 0.0907 0.5000
Ca12 0.6216 0.2633 0.5000
Ca13 0.6341 0.6372 0.5000
Ca14 0.7127 0.8979 0.0000
Ca15 0.7873 0.3979 0.0000
Ca16 0.8659 0.1372 0.5000
Ca17 0.8784 0.7633 0.5000
Ca18 0.9361 0.5907 0.5000
Zn1 0.1168 0.7625 0.0000
Zn2 0.2233 0.4540 0.0000
Zn3 0.2767 0.9540 0.0000
Zn4 0.3832 0.2625 0.0000
Zn5 0.6168 0.7375 0.0000
Zn6 0.7233 0.0460 0.0000
Zn7 0.7767 0.5460 0.0000
Zn8 0.8832 0.2375 0.0000
Sb1 0.0000 0.5000 0.0000
Sb2 0.0406 0.1468 0.0000
Sb3 0.1204 0.6947 0.5000
Sb4 0.1903 0.3319 0.0000
Sb5 0.1937 0.0060 0.5000
Sb6 0.3063 0.5060 0.5000
Sb7 0.3097 0.8319 0.0000
Sb8 0.3796 0.1947 0.5000
Sb9 0.4594 0.6468 0.0000
Sb10 0.5000 0.0000 0.0000
Sb11 0.5406 0.3532 0.0000
Sb12 0.6204 0.8053 0.5000
Sb13 0.6903 0.1681 0.0000
Sb14 0.6937 0.4940 0.5000
Sb15 0.8063 0.9940 0.5000
Sb16 0.8097 0.6681 0.0000
Sb17 0.8796 0.3053 0.5000
Sb18 0.9594 0.8532 0.0000
```

Peak list (10 most intense, 2θ = 15–90°, by intensity)
| 2theta | d_spacing | intensity |
| --- | --- | --- |
| 24.57 | 3.624 | 100 |
| 39.52 | 2.280 | 76 |
| 24.08 | 3.696 | 66 |
| 29.33 | 3.045 | 61 |
| 31.72 | 2.821 | 60 |
| 41.08 | 2.197 | 58 |
| 32.20 | 2.780 | 57 |
| 29.71 | 3.007 | 49 |
| 37.70 | 2.386 | 41 |
| 34.79 | 2.579 | 34 |



# 6
Structure and theoretical PXRD pattern of Ca2ZnSb2 (a structure optimized by DFT (PBE); Cu Kα, 1.54184 Å).
Neutral-atom scattering factors, no anomalous dispersion.

Structural model:
```
data_Ca2ZnSb2
_cell_length_a 12.5393
_cell_length_b 4.6033
_cell_length_c 22.0031
_cell_angle_alpha 90.00
_cell_angle_beta 90.31
_cell_angle_gamma 90.00
_symmetry_space_group_name_H-M 'P 1'
_symmetry_Int_Tables_number 1
loop_
_symmetry_equiv_pos_as_xyz
'x,y,z'
loop_
_atom_site_label
_atom_site_fract_x
_atom_site_fract_y
_atom_site_fract_z
Ca1 0.0000 0.0000 0.0000
Ca2 0.0063 0.0000 0.6129
Ca3 0.0885 0.5000 0.3571
Ca4 0.1741 0.5000 0.8567
Ca5 0.2418 0.0000 0.1187
Ca6 0.2545 0.0000 0.4914
Ca7 0.3169 0.0000 0.6621
Ca8 0.3743 0.5000 0.2548
Ca9 0.4377 0.0000 0.8450
Ca10 0.4939 0.0000 0.0188
Ca11 0.5092 0.0000 0.3919
Ca12 0.5895 0.5000 0.6507
Ca13 0.6605 0.5000 0.1538
Ca14 0.7283 0.0000 0.8934
Ca15 0.7532 0.0000 0.5176
Ca16 0.8118 0.0000 0.3453
Ca17 0.8694 0.5000 0.7502
Ca18 0.9387 0.0000 0.1657
Zn1 0.0970 0.5000 0.2098
Zn2 0.1582 0.5000 0.7091
Zn3 0.2553 0.5000 0.0172
Zn4 0.4934 0.5000 0.4918
Zn5 0.5978 0.5000 0.8006
Zn6 0.6521 0.5000 0.3008
Zn7 0.7469 0.5000 0.9947
Zn8 0.9797 0.0000 0.8586
Zn9 0.9915 0.5000 0.5162
Sb1 0.0655 0.5000 0.0875
Sb2 0.0717 0.0000 0.7528
Sb3 0.1806 0.0000 0.2601
Sb4 0.1841 0.5000 0.5888
Sb5 0.2490 0.0000 0.9475
Sb6 0.3349 0.5000 0.4024
Sb7 0.3741 0.5000 0.7552
Sb8 0.4141 0.5000 0.1060
Sb9 0.4971 0.0000 0.5602
Sb10 0.5624 0.5000 0.9226
Sb11 0.5684 0.0000 0.2484
Sb12 0.6807 0.0000 0.7502
Sb13 0.6851 0.5000 0.4225
Sb14 0.7567 0.0000 0.0582
Sb15 0.8345 0.5000 0.6073
Sb16 0.8741 0.5000 0.2541
Sb17 0.9153 0.5000 0.9028
Sb18 0.9972 0.0000 0.4498
```

Peak list (10 most intense, 2θ = 15–90°, by intensity)
| 2theta | d_spacing | intensity |
| --- | --- | --- |
| 39.14 | 2.302 | 100 |
| 23.90 | 3.723 | 75 |
| 29.14 | 3.064 | 65 |
| 24.29 | 3.664 | 61 |
| 24.57 | 3.623 | 57 |
| 34.62 | 2.591 | 43 |
| 24.46 | 3.640 | 42 |
| 31.59 | 2.832 | 37 |
| 37.57 | 2.394 | 35 |
| 46.73 | 1.944 | 34 |



# 7
Structure and theoretical PXRD pattern of CaSe (a structure optimized by DFT (PBE); Cu Kα, 1.54184 Å).
Neutral-atom scattering factors, no anomalous dispersion.

Structural model:
```
data_CaSe
_cell_length_a 4.6669
_cell_length_b 4.6669
_cell_length_c 4.6669
_cell_angle_alpha 60.00
_cell_angle_beta 60.00
_cell_angle_gamma 60.00
_symmetry_space_group_name_H-M 'P 1'
_symmetry_Int_Tables_number 1
loop_
_symmetry_equiv_pos_as_xyz
'x,y,z'
loop_
_atom_site_label
_atom_site_fract_x
_atom_site_fract_y
_atom_site_fract_z
Ca1 0.0000 0.0000 0.0000
Se1 0.7500 0.7500 0.7500
```

Peak list (10 most intense, 2θ = 15–90°, by intensity)
| 2theta | d_spacing | intensity |
| --- | --- | --- |
| 23.34 | 3.811 | 100 |
| 38.58 | 2.333 | 71 |
| 45.59 | 1.990 | 47 |
| 69.81 | 1.347 | 23 |
| 61.21 | 1.514 | 19 |
| 87.42 | 1.116 | 14 |
| 74.74 | 1.270 | 14 |
| 55.71 | 1.650 | 12 |
| 27.02 | 3.300 | 8 |
| 82.71 | 1.167 | 7 |



# 8
Structure and theoretical PXRD pattern of CaSe (a structure optimized by DFT (PBE); Cu Kα, 1.54184 Å).
Neutral-atom scattering factors, no anomalous dispersion.

Structural model:
```
data_CaSe
_cell_length_a 4.2177
_cell_length_b 4.2177
_cell_length_c 4.2177
_cell_angle_alpha 60.00
_cell_angle_beta 60.00
_cell_angle_gamma 60.00
_symmetry_space_group_name_H-M 'P 1'
_symmetry_Int_Tables_number 1
loop_
_symmetry_equiv_pos_as_xyz
'x,y,z'
loop_
_atom_site_label
_atom_site_fract_x
_atom_site_fract_y
_atom_site_fract_z
Ca1 0.0000 0.0000 0.0000
Se1 0.5000 0.5000 0.5000
```

Peak list (10 most intense, 2θ = 15–90°, by intensity)
| 2theta | d_spacing | intensity |
| --- | --- | --- |
| 29.96 | 2.982 | 100 |
| 42.89 | 2.109 | 72 |
| 70.62 | 1.334 | 31 |
| 53.20 | 1.722 | 25 |
| 78.57 | 1.218 | 23 |
| 25.87 | 3.444 | 17 |
| 62.26 | 1.491 | 11 |
| 50.77 | 1.798 | 9 |
| 68.58 | 1.368 | 4 |
| 84.38 | 1.148 | 3 |